Tb4Sm2Tl3H2: computed powder diffractogram (Cu Kα), based on a GGA-PBE-relaxed structure.
No peak broadening, texture or thermal motion is included.

Atomic structure:
a = 4.7926 Å, b = 4.7926 Å, c = 24.7099 Å
α = 90.00°, β = 90.00°, γ = 90.00°
Space group I4/mmm (No. 139)
Unique sites:
1 Tb 0.0000 0.5000 0.0835 [8 per cell]
2 Sm 0.0000 0.0000 0.1975 [4 per cell]
3 Tl 0.0000 0.0000 0.3276 [4 per cell]
4 Tl 0.0000 0.0000 0.5000 [2 per cell]
5 H 0.0000 0.0000 0.1004 [4 per cell]

Main lines, in order of rising 2θ (2θ = 10–80°):
(hkl), d (Å), 2θ (°), intensity
1 0 1, 4.705, 18.86, 20
1 1 2, 3.268, 27.29, 33
1 1 4, 2.971, 30.08, 15
1 0 7, 2.842, 31.48, 20
1 1 6, 2.617, 34.27, 100
2 0 0, 2.396, 37.53, 51
2 1 7, 1.832, 49.77, 11
2 2 0, 1.694, 54.13, 18
2 0 12, 1.562, 59.16, 12
3 1 6, 1.422, 65.65, 35